# MnOF
Calculated powder diffraction line list, Cu Kα. Input: DFT lattice parameters and positions (PBE+U).
Lines closer than 0.1° are merged.

Atomic structure:
Cell: 4.655 4.616 9.522 Å, 90.00 90.86 90.00°
Space group P2_1 (No. 4)
Symmetry-distinct sites (fractional):
Mn 0.213 0.000 0.252 x2
Mn 0.220 0.001 0.915 x2
Mn 0.284 0.050 0.583 x2
O 0.041 0.186 0.089 x2
O 0.083 0.202 0.747 x2
O 0.429 0.852 0.417 x2
F 0.020 0.246 0.417 x2
F 0.448 0.790 0.074 x2
F 0.486 0.806 0.754 x2

Main lines, most intense first (2θ from 10° to 90°):
2θ 27.21, I 100, hkl 1 1 0; 2θ 34.29, I 31, hkl 0 1 3; 2θ 53.01, I 29, hkl 1 2 3; 2θ 33.95, I 17, hkl 1 0 -3; 2θ 56.13, I 17, hkl 2 2 0; 2θ 34.44, I 15, hkl 1 0 3